The following is a simulated powder XRD pattern of Li2MnSi2O6. It was derived from a cell relaxed with GGA+U, using Cu Kα X-rays.

Structure:
```
22
Lattice="5.3578 -5.3983 0.0000 5.3578 5.3983 0.0000 -2.3945 0.0000 4.5805" Properties=species:S:1:pos:R:3 pbc="T T T"
Li 0.0000 0.0000 0.0000
Li 4.1232 0.4456 0.1978
Li 4.1606 -0.6781 2.2903
Li 4.1979 0.4456 4.3828
Mn 5.3578 -2.5791 0.0000
Mn 4.1606 -5.0477 2.2903
Si 1.9546 1.6666 2.2026
Si 2.2505 -1.9564 0.1049
Si 6.3666 1.6666 2.3780
Si 6.0707 -1.9564 4.4756
O 1.6806 2.9434 3.2310
O 2.9502 2.1212 0.9250
O -0.8021 -0.6881 3.9569
O 2.6558 0.4764 3.0264
O 6.6406 2.9434 1.3495
O 5.3709 2.1212 3.6555
O 3.7376 -1.5446 0.6453
O 5.6654 0.4764 1.5541
O 2.4777 -4.0536 3.0986
O 4.5836 -1.5446 3.9352
O 9.1233 -0.6881 0.6236
O 5.8435 -4.0536 1.4819
```

Largest 8 diffraction maxima, in order of falling intensity, 10 to 90 degrees two-theta:
two_theta, intensity
25.5, 100
29.4, 56
25.8, 44
12.4, 32
25.0, 29
30.3, 26
27.1, 26
35.6, 20